This entry pairs a crystal structure of Ac8NdDy4 with its calculated XRD peak list. Radiation: λ = 1.5418 Å (Cu Kα). Structure: a cell relaxed with GGA-PBE.
Kinematic intensities with the Lorentz-polarization factor, no thermal factor.

Crystal structure
a b c (Å): 8.334 8.334 8.334
angles (deg): 90.07 90.07 90.07
Element x y z (fractional)
Ac 0.241 0.241 0.241
Ac 0.241 0.241 0.759
Ac 0.241 0.759 0.241
Ac 0.241 0.759 0.759
Ac 0.759 0.241 0.241
Ac 0.759 0.241 0.759
Ac 0.759 0.759 0.241
Ac 0.759 0.759 0.759
Nd 0.500 0.500 0.500
Dy 0.000 0.000 0.000
Dy 0.000 0.500 0.500
Dy 0.500 0.000 0.500
Dy 0.500 0.500 0.000

Principal peaks in the range 2θ from 10° to 90°, sorted by position:
| 2θ (°) | I_rel |
| --- | --- |
| 18.4 | 9 |
| 21.3 | 17 |
| 30.3 | 100 |
| 43.4 | 19 |
| 53.9 | 40 |
| 63.1 | 12 |
| 71.6 | 17 |
| 87.6 | 15 |